No. 1
Structure and simulated powder diffraction line list of NaHg3Pb12 (a cell relaxed with PBE; Cu Kα (weighted mean of Kα1 and Kα2)).
Peak positions follow from Bragg's law for the DFT cell and can differ from measured ones.

Most intense lines, 10 to 80 degrees two-theta, by angle:
2theta  d/Å  Rel. int.
31.52  2.839  100
35.19  2.551  19
37.22  2.416  33
52.15  1.754  25
53.65  1.708  12
60.85  1.522  16
63.57  1.464  28
65.80  1.419  13

Structure:
Unit cell a=4.8318 b=4.8318 c=20.4047 alpha=90.00 beta=90.00 gamma=90.00
Fractional coordinates of all 16 atoms:
Na 0.0000 0.0000 0.0000
Hg 0.0000 0.0000 0.2522
Hg 0.0000 0.0000 0.5000
Hg 0.0000 0.0000 0.7478
Pb 0.0000 0.5000 0.1251
Pb 0.0000 0.5000 0.3759
Pb 0.0000 0.5000 0.6241
Pb 0.0000 0.5000 0.8749
Pb 0.5000 0.0000 0.1251
Pb 0.5000 0.0000 0.3759
Pb 0.5000 0.0000 0.6241
Pb 0.5000 0.0000 0.8749
Pb 0.5000 0.5000 0.0000
Pb 0.5000 0.5000 0.2492
Pb 0.5000 0.5000 0.5000
Pb 0.5000 0.5000 0.7508

No. 2
Structure and simulated powder diffraction line list of Cd7InAg5 (a cell relaxed with PBE; Cu Kα (weighted mean of Kα1 and Kα2)).
Peak positions follow from Bragg's law for the DFT cell and can differ from measured ones.

Most intense lines, 10 to 80 degrees two-theta, by angle:
2theta  d/Å  Rel. int.
31.12  2.874  34
31.53  2.838  36
36.22  2.480  69
36.40  2.468  75
36.59  2.456  77
40.51  2.227  36
40.92  2.205  100
65.70  1.421  34

Structure:
Unit cell a=7.5585 b=7.5585 c=7.5585 alpha=135.85 beta=97.21 gamma=99.03
Fractional coordinates of all 13 atoms:
Cd 0.0000 0.0000 0.0000
Cd 0.3119 0.3119 0.0000
Cd 0.3119 0.6529 0.6590
Cd 0.4551 0.1455 0.3096
Cd 0.8359 0.1455 0.6904
Cd 0.8811 0.3811 0.5000
Cd 0.9939 0.6529 0.3410
In 0.6453 0.6453 0.0000
Ag 0.1479 0.1491 0.4993
Ag 0.1479 0.6486 0.9988
Ag 0.4126 0.9126 0.5000
Ag 0.6498 0.1491 0.0012
Ag 0.6498 0.6486 0.5007

No. 3
Structure and simulated powder diffraction line list of Ba4Tl2Rh (a cell relaxed with PBE; Cu Kα (weighted mean of Kα1 and Kα2)).
Peak positions follow from Bragg's law for the DFT cell and can differ from measured ones.

Most intense lines, 10 to 80 degrees two-theta, by angle:
2theta  d/Å  Rel. int.
22.60  3.934  70
28.15  3.171  100
28.71  3.109  91
28.87  3.092  95
29.89  2.990  59
30.06  2.973  54
30.22  2.958  61
32.25  2.776  59

Structure:
Unit cell a=7.8740 b=7.8687 c=9.4674 alpha=90.00 beta=108.67 gamma=90.00
Fractional coordinates of all 14 atoms:
Ba 0.1331 0.0098 0.3066
Ba 0.1331 0.4902 0.3066
Ba 0.3003 0.2500 0.9186
Ba 0.3166 0.7500 0.6718
Ba 0.6834 0.2500 0.3282
Ba 0.6997 0.7500 0.0814
Ba 0.8669 0.5098 0.6934
Ba 0.8669 0.9902 0.6934
Tl 0.2131 0.7500 0.0134
Tl 0.4651 0.2500 0.6114
Tl 0.5349 0.7500 0.3886
Tl 0.7869 0.2500 0.9866
Rh 0.0996 0.2500 0.5832
Rh 0.9004 0.7500 0.4168